No. 1
Simulated X-ray powder pattern
Compound: SrCuTcP
Radiation: λ = 1.5418 Å (Cu Kα)
Structure: a crystal structure in Alexandria, relaxed with GGA-PBE
Intensities are scaled so that the largest is 100.

Main lines, low angle first (2θ from 10° to 80°):
Position (°2θ), I/Imax, hkl
16.23, 20, 0 0 2
24.05, 19, 1 0 1
32.79, 25, 0 0 4
33.54, 22, 1 0 3
36.25, 100, 1 1 2
46.17, 31, 2 0 0
60.81, 20, 1 1 6
78.96, 19, 3 1 2

Structural model:
Lattice parameters (Å, degrees): 3.9325 3.9325 10.9245 90.00 90.00 90.00
Space group P4/nmm (No. 129, origin choice 2)
Unique sites:
1 Sr 0.2500 0.2500 0.2349 x2
2 Cu 0.2500 0.7500 0.0000 x2
3 Tc 0.2500 0.7500 0.5000 x2
4 P 0.2500 0.2500 0.6234 x2

No. 2
Simulated X-ray powder pattern
Compound: V6Cr2Mo
Radiation: λ = 1.5418 Å (Cu Kα)
Structure: a crystal structure in Alexandria, relaxed with GGA-PBE
Intensities are scaled so that the largest is 100.

Main lines, low angle first (2θ from 10° to 80°):
Position (°2θ), I/Imax, hkl
40.95, 22, 1 1 0
41.23, 29, 1 -2 0
41.37, 24, 1 1 -1
42.08, 100, 0 2 -3
42.14, 80, 0 3 0
42.92, 73, 0 1 3
44.38, 34, 1 1 1
51.16, 22, 1 0 -3

Structural model:
Lattice parameters (Å, degrees): 2.5584 6.6851 7.3496 101.57 91.09 100.38
Space group P-1 (No. 2)
Unique sites:
1 V 0.0517 0.1685 0.1196 x2
2 V 0.2917 0.4927 0.6589 x2
3 V 0.3886 0.8448 0.2381 x2
4 Cr 0.1310 0.8335 0.5537 x2
5 Mo 0.5000 0.5000 0.0000 x1

No. 3
Simulated X-ray powder pattern
Compound: MgZn9Cu2
Radiation: λ = 1.5418 Å (Cu Kα)
Structure: a crystal structure in Alexandria, relaxed with GGA-PBE
Intensities are scaled so that the largest is 100.

Main lines, low angle first (2θ from 10° to 80°):
Position (°2θ), I/Imax, hkl
15.64, 27, 1 0 1
16.87, 25, 2 0 0
38.06, 51, 3 1 2
38.30, 45, 4 2 0
41.16, 21, 1 0 3
44.78, 35, 2 1 3
45.19, 100, 5 0 1
47.18, 35, 4 2 2

Structural model:
Lattice parameters (Å, degrees): 10.5108 10.5108 6.7267 90.00 90.00 90.00
Space group I4_1/amd (No. 141, origin choice 2)
Unique sites:
1 Mg 0.0000 0.2500 0.3750 x4
2 Zn 0.0000 0.2500 0.8750 x4
3 Zn 0.1209 0.0455 0.6813 x32
4 Cu 0.0000 0.0000 0.0000 x8

No. 4
Simulated X-ray powder pattern
Compound: Tb5TlGe2
Radiation: λ = 1.5418 Å (Cu Kα)
Structure: a crystal structure in Alexandria, relaxed with GGA-PBE
Intensities are scaled so that the largest is 100.

Main lines, low angle first (2θ from 10° to 80°):
Position (°2θ), I/Imax, hkl
26.14, 20, 2 1 1
30.30, 42, 1 1 4
31.94, 100, 2 1 3
32.20, 20, 2 2 0
34.42, 47, 2 0 4
36.13, 74, 3 1 0
56.24, 23, 3 3 4
65.48, 20, 3 1 8

Structural model:
Lattice parameters (Å, degrees): 7.8617 7.8617 13.9192 90.00 90.00 90.00
Space group I4/mcm (No. 140)
Unique sites:
1 Tb 0.0000 0.0000 0.0000 x4
2 Tb 0.1609 0.3391 0.1408 x16
3 Tl 0.0000 0.0000 0.2500 x4
4 Ge 0.1422 0.3578 0.5000 x8

No. 5
Simulated X-ray powder pattern
Compound: TbPm4Th3Se8
Radiation: λ = 1.5418 Å (Cu Kα)
Structure: a crystal structure in Alexandria, relaxed with GGA-PBE
Intensities are scaled so that the largest is 100.

Main lines, low angle first (2θ from 10° to 80°):
Position (°2θ), I/Imax, hkl
26.17, 20, 2 0 2
30.19, 100, 0 2 4
42.97, 38, 2 0 8
43.48, 37, 2 2 0
53.84, 20, 4 0 4
70.87, 17, 2 2 12
71.60, 17, 2 4 4
79.46, 13, 4 2 8

Structural model:
Lattice parameters (Å, degrees): 8.3259 8.3259 20.7381 90.00 90.00 120.00
Space group R-3m (No. 166, hexagonal axes)
Unique sites:
1 Tb 0.0000 0.0000 0.0000 x3
2 Pm 0.0000 0.0000 0.5000 x3
3 Pm 0.0000 0.5000 0.5000 x9
4 Th 0.0000 0.5000 0.0000 x9
5 Se 0.0000 0.0000 0.2486 x6
6 Se 0.0055 0.5027 0.7497 x18